No. 1
Structure and theoretical X-ray powder pattern of Nd5Sm8In (DFT lattice parameters and positions (GGA-PBE); λ = 1.5418 Å (Cu Kα)).
Intensities are scaled so that the largest is 100.

Structural model:
Unit cell a=8.8769 b=8.8769 c=8.6506 alpha=118.15 beta=118.15 gamma=57.53
Fractional positions:
Nd 0.0000 0.0000 0.0000
Nd 0.2905 0.6122 0.7284
Nd 0.3878 0.7095 0.2716
Nd 0.5728 0.2295 0.0442
Nd 0.7705 0.4272 0.9558
Sm 0.0804 0.5373 0.9284
Sm 0.1745 0.0763 0.6809
Sm 0.2809 0.3746 0.2875
Sm 0.4627 0.9196 0.0716
Sm 0.5611 0.0710 0.5766
Sm 0.6254 0.7191 0.7125
Sm 0.9237 0.8255 0.3191
Sm 0.9290 0.4389 0.4234
In 0.7187 0.2813 0.5000

Main lines, low angle first (15° ≤ 2θ ≤ 90°):
29.39 deg, d 3.039, intensity 31; 30.61 deg, d 2.920, intensity 49; 30.79 deg, d 2.904, intensity 18; 30.89 deg, d 2.894, intensity 32; 31.19 deg, d 2.868, intensity 100; 31.92 deg, d 2.803, intensity 41; 32.16 deg, d 2.783, intensity 26; 32.28 deg, d 2.773, intensity 23; 33.12 deg, d 2.705, intensity 19; 56.75 deg, d 1.622, intensity 18

---

No. 2
Structure and theoretical X-ray powder pattern of Nd8Sm6In (DFT lattice parameters and positions (GGA-PBE); λ = 1.5418 Å (Cu Kα)).
Intensities are scaled so that the largest is 100.

Structural model:
Unit cell a=9.4366 b=9.4366 c=6.6623 alpha=90.00 beta=90.00 gamma=120.00
Fractional positions:
Nd 0.0407 0.2702 0.1793
Nd 0.2295 0.9593 0.1793
Nd 0.2702 0.2295 0.8207
Nd 0.3333 0.6667 0.1332
Nd 0.6667 0.3333 0.8668
Nd 0.7298 0.7705 0.1793
Nd 0.7705 0.0407 0.8207
Nd 0.9593 0.7298 0.8207
Sm 0.0935 0.4440 0.6655
Sm 0.3505 0.9065 0.6655
Sm 0.4440 0.3505 0.3345
Sm 0.5560 0.6495 0.6655
Sm 0.6495 0.0935 0.3345
Sm 0.9065 0.5560 0.3345
In 0.0000 0.0000 0.5000

Main lines, low angle first (15° ≤ 2θ ≤ 90°):
25.57 deg, d 3.483, intensity 18; 28.92 deg, d 3.087, intensity 44; 31.94 deg, d 2.802, intensity 100; 32.91 deg, d 2.722, intensity 45; 39.79 deg, d 2.265, intensity 10; 50.59 deg, d 1.804, intensity 19; 51.23 deg, d 1.783, intensity 17; 58.77 deg, d 1.571, intensity 12; 61.66 deg, d 1.504, intensity 18; 65.10 deg, d 1.433, intensity 12

---

No. 3
Structure and theoretical X-ray powder pattern of NdSm2In2 (DFT lattice parameters and positions (GGA-PBE); λ = 1.5418 Å (Cu Kα)).
Intensities are scaled so that the largest is 100.

Structural model:
Unit cell a=3.8389 b=5.4709 c=14.3352 alpha=90.00 beta=97.72 gamma=90.00
Fractional positions:
Nd 0.1460 0.2500 0.2942
Nd 0.8540 0.7500 0.7058
Sm 0.0483 0.7500 0.0970
Sm 0.2360 0.7500 0.4723
Sm 0.7640 0.2500 0.5277
Sm 0.9517 0.2500 0.9030
In 0.3572 0.2500 0.7133
In 0.4515 0.7500 0.9034
In 0.5485 0.2500 0.0966
In 0.6428 0.7500 0.2867

Main lines, low angle first (15° ≤ 2θ ≤ 90°):
31.49 deg, d 2.841, intensity 23; 32.56 deg, d 2.750, intensity 100; 32.74 deg, d 2.735, intensity 26; 46.06 deg, d 1.971, intensity 16; 47.36 deg, d 1.919, intensity 9; 56.75 deg, d 1.622, intensity 14; 57.99 deg, d 1.590, intensity 8; 58.32 deg, d 1.582, intensity 19; 58.77 deg, d 1.571, intensity 10; 68.21 deg, d 1.375, intensity 10

---

No. 4
Structure and theoretical X-ray powder pattern of Nd12Sm2In (DFT lattice parameters and positions (GGA-PBE); λ = 1.5418 Å (Cu Kα)).
Intensities are scaled so that the largest is 100.

Structural model:
Unit cell a=6.7576 b=6.7576 c=23.9032 alpha=90.00 beta=90.00 gamma=90.00
Fractional positions:
Nd 0.0040 0.5040 0.0918
Nd 0.0040 0.9960 0.9082
Nd 0.0840 0.5840 0.5654
Nd 0.0840 0.9160 0.4346
Nd 0.2500 0.2500 0.1997
Nd 0.2500 0.2500 0.3283
Nd 0.2500 0.2500 0.6717
Nd 0.2500 0.2500 0.8003
Nd 0.4160 0.5840 0.4346
Nd 0.4160 0.9160 0.5654
Nd 0.4960 0.5040 0.9082
Nd 0.4960 0.9960 0.0918
Nd 0.5040 0.0040 0.9082
Nd 0.5040 0.4960 0.0918
Nd 0.5840 0.0840 0.4346
Nd 0.5840 0.4160 0.5654
Nd 0.7500 0.7500 0.1997
Nd 0.7500 0.7500 0.3283
Nd 0.7500 0.7500 0.6717
Nd 0.7500 0.7500 0.8003
Nd 0.9160 0.0840 0.5654
Nd 0.9160 0.4160 0.4346
Nd 0.9960 0.0040 0.0918
Nd 0.9960 0.4960 0.9082
Sm 0.2500 0.7500 0.2479
Sm 0.2500 0.7500 0.7521
Sm 0.7500 0.2500 0.2479
Sm 0.7500 0.2500 0.7521
In 0.2500 0.7500 0.0000
In 0.7500 0.2500 0.0000

Main lines, low angle first (15° ≤ 2θ ≤ 90°):
22.32 deg, d 3.984, intensity 27; 23.84 deg, d 3.732, intensity 26; 27.43 deg, d 3.251, intensity 100; 29.19 deg, d 3.060, intensity 38; 30.39 deg, d 2.941, intensity 49; 32.45 deg, d 2.759, intensity 29; 34.82 deg, d 2.577, intensity 50; 37.65 deg, d 2.389, intensity 64; 52.66 deg, d 1.738, intensity 43; 64.68 deg, d 1.441, intensity 28

---

No. 5
Structure and theoretical X-ray powder pattern of Nd3Sm2In4 (DFT lattice parameters and positions (GGA-PBE); λ = 1.5418 Å (Cu Kα)).
Intensities are scaled so that the largest is 100.

Structural model:
Unit cell a=5.4219 b=5.4219 c=10.4532 alpha=90.06 beta=90.06 gamma=60.06
Fractional positions:
Nd 0.0000 0.0000 0.0000
Nd 0.3333 0.3333 0.5776
Nd 0.6667 0.6667 0.4224
Sm 0.3333 0.3333 0.2200
Sm 0.6667 0.6667 0.7800
In 0.0001 0.0001 0.3476
In 0.9999 0.9999 0.6524
In 0.3335 0.3335 0.8998
In 0.6665 0.6665 0.1002

Main lines, low angle first (15° ≤ 2θ ≤ 90°):
31.98 deg, d 2.798, intensity 100; 33.03 deg, d 2.712, intensity 96; 46.64 deg, d 1.947, intensity 35; 56.32 deg, d 1.633, intensity 17; 58.34 deg, d 1.582, intensity 35; 59.00 deg, d 1.566, intensity 18; 66.87 deg, d 1.399, intensity 10; 69.30 deg, d 1.356, intensity 11; 76.60 deg, d 1.244, intensity 9; 78.33 deg, d 1.221, intensity 10

---

No. 6
Structure and theoretical X-ray powder pattern of Nd6Sm2In (DFT lattice parameters and positions (GGA-PBE); λ = 1.5418 Å (Cu Kα)).
Intensities are scaled so that the largest is 100.

Structural model:
Unit cell a=10.9153 b=10.9153 c=5.0400 alpha=90.00 beta=90.00 gamma=90.00
Fractional positions:
Nd 0.0005 0.3326 0.0000
Nd 0.9995 0.6674 0.0000
Nd 0.1600 0.1600 0.5000
Nd 0.1674 0.5005 0.5000
Nd 0.3326 0.0005 0.0000
Nd 0.3400 0.6600 0.0000
Nd 0.5005 0.1674 0.5000
Nd 0.4995 0.8326 0.5000
Nd 0.6600 0.3400 0.0000
Nd 0.6674 0.9995 0.0000
Nd 0.8326 0.4995 0.5000
Nd 0.8400 0.8400 0.5000
Sm 0.1609 0.8391 0.5000
Sm 0.3391 0.3391 0.0000
Sm 0.6609 0.6609 0.0000
Sm 0.8391 0.1609 0.5000
In 0.0000 0.0000 0.0000
In 0.5000 0.5000 0.5000

Main lines, low angle first (15° ≤ 2θ ≤ 90°):
30.30 deg, d 2.950, intensity 100; 34.87 deg, d 2.573, intensity 34; 35.63 deg, d 2.520, intensity 16; 50.15 deg, d 1.819, intensity 12; 50.71 deg, d 1.800, intensity 24; 59.72 deg, d 1.548, intensity 28; 60.72 deg, d 1.525, intensity 14; 63.02 deg, d 1.475, intensity 12; 81.66 deg, d 1.179, intensity 6; 82.54 deg, d 1.169, intensity 11

---

No. 7
Structure and theoretical X-ray powder pattern of Nd2SmIn2 (DFT lattice parameters and positions (GGA-PBE); λ = 1.5418 Å (Cu Kα)).
Intensities are scaled so that the largest is 100.

Structural model:
Unit cell a=9.2984 b=9.2984 c=3.5697 alpha=90.00 beta=90.00 gamma=151.21
Fractional positions:
Nd 0.1824 0.8176 0.0000
Nd 0.8176 0.1824 0.0000
Sm 0.0000 0.0000 0.0000
In 0.4028 0.5972 0.5000
In 0.5972 0.4028 0.5000

Main lines, low angle first (15° ≤ 2θ ≤ 90°):
31.48 deg, d 2.842, intensity 81; 32.05 deg, d 2.793, intensity 100; 35.10 deg, d 2.557, intensity 11; 38.96 deg, d 2.312, intensity 26; 39.21 deg, d 2.298, intensity 40; 51.22 deg, d 1.784, intensity 21; 56.46 deg, d 1.630, intensity 27; 61.33 deg, d 1.511, intensity 24; 65.93 deg, d 1.417, intensity 30; 66.14 deg, d 1.413, intensity 11

---

No. 8
Structure and theoretical X-ray powder pattern of Nd4Sm3In (DFT lattice parameters and positions (GGA-PBE); λ = 1.5418 Å (Cu Kα)).
Intensities are scaled so that the largest is 100.

Structural model:
Unit cell a=10.1486 b=7.1161 c=7.1982 alpha=90.00 beta=90.00 gamma=90.00
Fractional positions:
Nd 0.0000 0.0010 0.0004
Nd 0.0000 0.4995 0.5000
Nd 0.2494 0.7439 0.7502
Nd 0.2506 0.2561 0.2502
Nd 0.5000 0.5005 0.0000
Nd 0.5000 0.9990 0.5004
Nd 0.7494 0.2561 0.2502
Nd 0.7506 0.7439 0.7502
Sm 0.0000 0.0002 0.5000
Sm 0.2502 0.2594 0.7502
Sm 0.2498 0.7406 0.2502
Sm 0.5000 0.9998 0.0000
Sm 0.7498 0.2594 0.7502
Sm 0.7502 0.7406 0.2502
In 0.0000 0.5000 0.0005
In 0.5000 0.5000 0.5005

Main lines, low angle first (15° ≤ 2θ ≤ 90°):
30.45 deg, d 2.936, intensity 100; 30.69 deg, d 2.913, intensity 97; 35.44 deg, d 2.533, intensity 100; 50.73 deg, d 1.800, intensity 12; 50.97 deg, d 1.792, intensity 47; 60.47 deg, d 1.531, intensity 42; 60.62 deg, d 1.528, intensity 14; 60.89 deg, d 1.521, intensity 27; 63.37 deg, d 1.468, intensity 12; 63.91 deg, d 1.457, intensity 12

---

No. 9
Structure and theoretical X-ray powder pattern of NdSm5TlIn2 (DFT lattice parameters and positions (GGA-PBE); λ = 1.5418 Å (Cu Kα)).
Intensities are scaled so that the largest is 100.

Structural model:
Unit cell a=9.4332 b=9.4332 c=9.4332 alpha=124.42 beta=124.42 gamma=82.50
Fractional positions:
Nd 0.2500 0.7500 0.5000
Nd 0.7500 0.2500 0.5000
Sm 0.0000 0.0000 0.0000
Sm 0.0719 0.5719 0.9098
Sm 0.1621 0.0719 0.5000
Sm 0.3379 0.8379 0.9098
Sm 0.4281 0.3379 0.5000
Sm 0.5000 0.5000 0.0000
Sm 0.5719 0.6621 0.5000
Sm 0.6621 0.1621 0.0902
Sm 0.8379 0.9281 0.5000
Sm 0.9281 0.4281 0.0902
Tl 0.2500 0.2500 0.0000
Tl 0.7500 0.7500 0.0000
In 0.1092 0.3908 0.5000
In 0.3908 0.8908 0.2816
In 0.6092 0.1092 0.7184
In 0.8908 0.6092 0.5000

Main lines, low angle first (15° ≤ 2θ ≤ 90°):
28.71 deg, d 3.110, intensity 55; 29.54 deg, d 3.024, intensity 37; 32.18 deg, d 2.781, intensity 16; 32.43 deg, d 2.761, intensity 100; 37.41 deg, d 2.404, intensity 15; 39.15 deg, d 2.301, intensity 10; 42.87 deg, d 2.110, intensity 14; 51.54 deg, d 1.773, intensity 10; 53.26 deg, d 1.720, intensity 20; 60.07 deg, d 1.540, intensity 13

---

No. 10
Structure and theoretical X-ray powder pattern of Nd8InSn5 (DFT lattice parameters and positions (GGA-PBE); λ = 1.5418 Å (Cu Kα)).
Intensities are scaled so that the largest is 100.

Structural model:
Unit cell a=8.3220 b=8.3220 c=8.3220 alpha=109.51 beta=109.51 gamma=109.39
Fractional positions:
Nd 0.1264 0.2348 0.7544
Nd 0.1303 0.7389 0.7543
Nd 0.2611 0.0154 0.3914
Nd 0.4804 0.3720 0.2456
Nd 0.6240 0.8697 0.6086
Nd 0.6280 0.8736 0.1083
Nd 0.7652 0.5196 0.8917
Nd 0.9846 0.3760 0.2457
In 0.7500 0.2500 0.5000
Sn 0.0000 0.0000 0.0000
Sn 0.2515 0.6289 0.1258
Sn 0.3711 0.4969 0.6226
Sn 0.5031 0.1257 0.8742
Sn 0.8743 0.7485 0.3774

Main lines, low angle first (15° ≤ 2θ ≤ 90°):
29.39 deg, d 3.039, intensity 100; 34.94 deg, d 2.568, intensity 65; 42.05 deg, d 2.149, intensity 11; 44.21 deg, d 2.049, intensity 9; 46.29 deg, d 1.962, intensity 17; 48.29 deg, d 1.885, intensity 24; 59.28 deg, d 1.559, intensity 26; 60.98 deg, d 1.519, intensity 12; 62.65 deg, d 1.483, intensity 15; 72.22 deg, d 1.308, intensity 9

---

No. 11
Structure and theoretical X-ray powder pattern of NdIn3Sn3 (DFT lattice parameters and positions (GGA-PBE); λ = 1.5418 Å (Cu Kα)).
Intensities are scaled so that the largest is 100.

Structural model:
Unit cell a=6.6926 b=6.9541 c=8.6530 alpha=90.45 beta=90.02 gamma=90.06
Fractional positions:
Nd 0.9997 0.2164 0.2127
Nd 0.0003 0.7836 0.7873
In 0.0000 0.2550 0.7761
In 0.0000 0.7450 0.2239
In 0.4998 0.1387 0.8381
In 0.4998 0.2874 0.2580
In 0.5002 0.7126 0.7420
In 0.5002 0.8613 0.1619
Sn 0.2284 0.5001 0.4999
Sn 0.2601 0.9998 0.4998
Sn 0.2713 0.5002 0.0001
Sn 0.7287 0.4998 0.9999
Sn 0.7399 0.0002 0.5002
Sn 0.7716 0.4999 0.5001

Main lines, low angle first (15° ≤ 2θ ≤ 90°):
28.60 deg, d 3.121, intensity 14; 30.83 deg, d 2.900, intensity 18; 31.01 deg, d 2.884, intensity 15; 32.92 deg, d 2.721, intensity 37; 33.18 deg, d 2.700, intensity 54; 33.87 deg, d 2.647, intensity 100; 37.29 deg, d 2.411, intensity 69; 41.76 deg, d 2.163, intensity 17; 54.87 deg, d 1.673, intensity 14; 65.65 deg, d 1.422, intensity 14

---

No. 12
Structure and theoretical X-ray powder pattern of Nd8InSn6 (DFT lattice parameters and positions (GGA-PBE); λ = 1.5418 Å (Cu Kα)).
Intensities are scaled so that the largest is 100.

Structural model:
Unit cell a=8.4825 b=8.4825 c=8.4825 alpha=67.70 beta=67.70 gamma=67.70
Fractional positions:
Nd 0.1168 0.6945 0.3961
Nd 0.1671 0.1671 0.1671
Nd 0.3055 0.6039 0.8832
Nd 0.3961 0.1168 0.6945
Nd 0.6039 0.8832 0.3055
Nd 0.6945 0.3961 0.1168
Nd 0.8329 0.8329 0.8329
Nd 0.8832 0.3055 0.6039
In 0.5000 0.5000 0.5000
Sn 0.0638 0.4324 0.7892
Sn 0.2108 0.9362 0.5676
Sn 0.4324 0.7892 0.0638
Sn 0.5676 0.2108 0.9362
Sn 0.7892 0.0638 0.4324
Sn 0.9362 0.5676 0.2108

Main lines, low angle first (15° ≤ 2θ ≤ 90°):
18.78 deg, d 4.725, intensity 15; 23.28 deg, d 3.821, intensity 31; 27.46 deg, d 3.248, intensity 17; 30.32 deg, d 2.948, intensity 17; 32.83 deg, d 2.728, intensity 100; 33.48 deg, d 2.676, intensity 96; 43.32 deg, d 2.089, intensity 19; 47.59 deg, d 1.911, intensity 33; 59.03 deg, d 1.565, intensity 22; 60.26 deg, d 1.536, intensity 14